The following is a theoretical PXRD pattern of CaAc8Nd3. It was derived from DFT lattice parameters and positions (GGA-PBE), using Cu Kα.
Peak positions follow from Bragg's law for the DFT cell and can differ from measured ones.

Crystal structure
```
CaAc8Nd3
1.0
-3.4362 4.8081 7.9773
3.4362 -4.8081 7.9773
3.4362 4.8081 -7.9773
Ca Ac Nd
1 8 3
Cartesian
0.0000 0.0000 0.0000 Ca
1.1930 -1.4539 3.3002 Ac
4.4310 1.7617 -1.4528 Ac
2.4414 1.7617 1.4528 Ac
2.2432 6.2621 -4.6771 Ac
2.2432 3.3542 4.6771 Ac
-0.9948 3.0464 6.5245 Ac
0.9948 3.0464 9.4301 Ac
1.1930 1.4539 12.6544 Ac
3.4362 0.0000 6.1606 Nd
0.0000 0.0000 7.9773 Nd
0.0000 4.8081 1.8167 Nd
```

Most intense lines, 5° ≤ 2θ ≤ 70°, low angle first:
2θ (°), I (rel.)
23.3, 24
27.5, 75
28.2, 100
28.4, 34
32.8, 17
34.0, 24
36.2, 16
37.4, 20
48.9, 22
54.6, 19